[1]
This entry pairs a crystal structure of NaCaLaS3O12 with its calculated PXRD pattern. Radiation: Cu Kα (λ = 1.5418 Å). Structure: a cell relaxed with GGA-PBE.
Peak positions follow from Bragg's law for the DFT cell and can differ from measured ones.

Largest 10 diffraction maxima, by angle, 5° ≤ 2θ ≤ 70°:
(hkl), two_theta, I/Imax
0 1 2, 13.0, 67
1 0 4, 17.9, 53
1 1 0, 19.0, 52
1 1 3, 21.8, 100
0 2 4, 26.2, 37
1 1 6, 28.7, 96
3 0 0, 33.2, 39
2 2 6, 44.4, 34
2 1 10, 46.9, 23
4 1 0, 51.7, 25

Structural model:
```
data_NaCaLaS3O12
_chemical_formula_sum 'Na6 Ca6 La6 S18 O72'
_symmetry_space_group_name_H-M 'R 3 c'
_symmetry_Int_Tables_number 161
_symmetry_space_group_name_Hall 'R 3 -2"c'
_cell_length_a 9.3486
_cell_length_b 9.3486
_cell_length_c 25.0076
_cell_angle_alpha 90.00
_cell_angle_beta 90.00
_cell_angle_gamma 120.00
loop_
_atom_site_label
_atom_site_fract_x
_atom_site_fract_y
_atom_site_fract_z
Na1 0.0000 0.0000 0.0000
Ca1 0.0000 0.0000 0.3540
La1 0.0000 0.0000 0.1538
S1 0.0390 0.3663 0.4218
O1 0.0157 0.2163 0.7060
O2 0.0217 0.2007 0.4167
O3 0.1374 0.4501 0.4695
O4 0.1452 0.4623 0.7587
```



[2]
This entry pairs a crystal structure of NaCaLaSeO6 with its calculated PXRD pattern. Radiation: Cu Kα (λ = 1.5418 Å). Structure: a cell relaxed with GGA-PBE.
Peak positions follow from Bragg's law for the DFT cell and can differ from measured ones.

Largest 10 diffraction maxima, by angle, 5° ≤ 2θ ≤ 70°:
(hkl), two_theta, I/Imax
1 1 1, 19.2, 55
2 2 0, 31.6, 100
3 1 1, 37.2, 27
2 2 2, 38.9, 10
4 0 0, 45.3, 39
3 3 1, 49.6, 11
4 2 2, 56.3, 37
5 1 1, 60.0, 11
4 4 0, 66.0, 22
5 3 1, 69.4, 10

Structural model:
```
data_NaCaLaSeO6
_chemical_formula_sum 'Na4 Ca4 La4 Se4 O24'
_symmetry_space_group_name_H-M 'F -4 3 m'
_symmetry_Int_Tables_number 216
_symmetry_space_group_name_Hall 'F -4 2 3'
_cell_length_a 8.0115
_cell_length_b 8.0115
_cell_length_c 8.0115
_cell_angle_alpha 90.00
_cell_angle_beta 90.00
_cell_angle_gamma 90.00
loop_
_atom_site_label
_atom_site_fract_x
_atom_site_fract_y
_atom_site_fract_z
Na1 0.0000 0.0000 0.0000
Ca1 0.2500 0.2500 0.7500
La1 0.0000 0.0000 0.5000
Se1 0.2500 0.2500 0.2500
O1 0.0246 0.2500 0.2500
```



[3]
This entry pairs a crystal structure of SrCaLaNbO6 with its calculated PXRD pattern. Radiation: Cu Kα (λ = 1.5418 Å). Structure: a cell relaxed with GGA-PBE.
Peak positions follow from Bragg's law for the DFT cell and can differ from measured ones.

Largest 10 diffraction maxima, by angle, 5° ≤ 2θ ≤ 70°:
(hkl), two_theta, I/Imax
1 1 1, 18.3, 13
2 0 0, 21.2, 2
2 2 0, 30.2, 100
3 1 1, 35.5, 6
2 2 2, 37.2, 12
4 0 0, 43.2, 35
4 2 2, 53.6, 40
5 1 1, 57.1, 3
4 4 0, 62.7, 21
5 3 1, 65.9, 2

Structural model:
```
data_SrCaLaNbO6
_chemical_formula_sum 'Sr4 Ca4 La4 Nb4 O24'
_symmetry_space_group_name_H-M 'F -4 3 m'
_symmetry_Int_Tables_number 216
_symmetry_space_group_name_Hall 'F -4 2 3'
_cell_length_a 8.3822
_cell_length_b 8.3822
_cell_length_c 8.3822
_cell_angle_alpha 90.00
_cell_angle_beta 90.00
_cell_angle_gamma 90.00
loop_
_atom_site_label
_atom_site_fract_x
_atom_site_fract_y
_atom_site_fract_z
Sr1 0.0000 0.0000 0.0000
Ca1 0.2500 0.2500 0.2500
La1 0.0000 0.0000 0.5000
Nb1 0.2500 0.2500 0.7500
O1 0.0124 0.2500 0.7500
```